# 1
# V2OF5
Simulated powder XRD pattern, Cu Kα. Input: a GGA+U-relaxed structure.
Intensities are scaled so that the largest is 100.

Lattice parameters (Å, degrees): 5.2597 5.4322 17.3898 83.10 81.35 61.10
Space group P1 (No. 1)
Unique sites:
V 0.0000 0.0000 0.0000 x1
V 0.0797 0.1360 0.6358 x1
V 0.1933 0.2930 0.2490 x1
V 0.3470 0.4106 0.8808 x1
V 0.4644 0.5157 0.5036 x1
V 0.6055 0.6413 0.1306 x1
V 0.7243 0.7841 0.7528 x1
V 0.8254 0.9268 0.3839 x1
O 0.2312 0.7275 0.9451 x1
O 0.7316 0.1989 0.4394 x1
O 0.9360 0.9897 0.7084 x1
O 0.9775 0.4384 0.1766 x1
F 0.0085 0.0573 0.2931 x1
F 0.0124 0.4579 0.6916 x1
F 0.1801 0.8435 0.5639 x1
F 0.1929 0.2334 0.9688 x1
F 0.2092 0.8602 0.0920 x1
F 0.2222 0.6920 0.4169 x1
F 0.2428 0.3100 0.5467 x1
F 0.4304 0.4868 0.2177 x1
F 0.4376 0.0943 0.8178 x1
F 0.4536 0.1079 0.3369 x1
F 0.4796 0.9376 0.6654 x1
F 0.5030 0.9671 0.1919 x1
F 0.5086 0.5701 0.7918 x1
F 0.6803 0.7288 0.4654 x1
F 0.7026 0.3675 0.5911 x1
F 0.7041 0.3276 0.0653 x1
F 0.7378 0.1991 0.9179 x1
F 0.7536 0.8213 0.0430 x1
F 0.9375 0.5899 0.3216 x1
F 0.9581 0.6140 0.8417 x1

Main lines, in order of rising 2θ (5° ≤ 2θ ≤ 70°):
two_theta  I (rel.)  h k l
23.56  100  1 0 3
23.68  51  0 1 3
33.01  21  1 2 1
34.29  6  1 1 6
39.66  10  2 0 2
39.83  17  -1 1 4
48.20  21  2 0 6
48.46  10  0 2 6
53.50  11  2 3 -1
53.62  18  1 -1 8
53.71  6  1 3 4
55.05  6  3 1 4

***

# 2
# V2O3F3
Simulated powder XRD pattern, Cu Kα. Input: a GGA+U-relaxed structure.
Intensities are scaled so that the largest is 100.

Lattice parameters (Å, degrees): 5.2321 5.2397 13.2854 89.12 89.65 60.58
Space group P1 (No. 1)
Unique sites:
V 0.0000 0.0000 0.0000 x1
V 0.0185 0.9457 0.4917 x1
V 0.3197 0.2933 0.8192 x1
V 0.3781 0.2706 0.3326 x1
V 0.6770 0.6259 0.6614 x1
V 0.7059 0.6087 0.1588 x1
O 0.0386 0.3963 0.7375 x1
O 0.1428 0.2058 0.3982 x1
O 0.2743 0.0705 0.8995 x1
O 0.4699 0.5387 0.7344 x1
O 0.6025 0.4162 0.2328 x1
O 0.6984 0.0682 0.3953 x1
O 0.8098 0.8747 0.0654 x1
O 0.9380 0.7381 0.5675 x1
O 0.9463 0.2961 0.0655 x1
F 0.0418 0.5589 0.2369 x1
F 0.1419 0.6302 0.8991 x1
F 0.2907 0.6329 0.3992 x1
F 0.3642 0.8983 0.5679 x1
F 0.3748 0.7281 0.0593 x1
F 0.4461 0.9965 0.2279 x1
F 0.6128 0.9801 0.7367 x1
F 0.7144 0.2021 0.8991 x1
F 0.7802 0.3186 0.5607 x1

Main lines, in order of rising 2θ (5° ≤ 2θ ≤ 70°):
two_theta  I (rel.)  h k l
23.50  93  0 1 2
23.69  93  1 0 2
23.95  100  1 1 -2
33.32  23  1 0 -4
33.60  13  0 1 -4
34.26  15  2 1 0
48.06  22  0 2 4
48.48  21  2 0 4
49.03  18  2 2 -4
53.80  19  1 2 6
54.70  15  1 2 -6
55.00  12  2 -1 2

***

# 3
# VOF3
Simulated powder XRD pattern, Cu Kα. Input: a GGA+U-relaxed structure.
Intensities are scaled so that the largest is 100.

Lattice parameters (Å, degrees): 7.3116 5.3346 8.5754 90.00 90.00 90.00
Space group Pca2_1 (No. 29)
Unique sites:
V 0.0034 0.0273 0.0000 x4
O 0.0232 0.8683 0.3266 x4
F 0.0446 0.7258 0.6310 x4
F 0.0921 0.7194 0.9874 x4
F 0.2346 0.1196 0.5345 x4

Main lines, in order of rising 2θ (5° ≤ 2θ ≤ 70°):
two_theta  I (rel.)  h k l
16.62  100  0 1 0
20.72  74  0 0 2
24.35  42  2 0 0
26.67  36  0 1 2
29.62  17  2 1 0
36.42  12  2 1 2
37.39  10  1 2 1
37.77  14  1 1 3
40.70  10  3 1 0
42.13  12  0 0 4
52.96  9  4 1 0
57.47  10  4 1 2

***

# 4
# VOF3
Simulated powder XRD pattern, Cu Kα. Input: a GGA+U-relaxed structure.
Intensities are scaled so that the largest is 100.

Lattice parameters (Å, degrees): 4.8556 5.1130 11.7944 90.00 90.00 90.00
Space group Pnc2 (No. 30)
Unique sites:
V 0.0000 0.0000 0.0000 x2
V 0.5000 0.0000 0.1649 x2
O 0.2108 0.1710 0.1133 x4
F 0.1267 0.2172 0.8958 x4
F 0.2957 0.7324 0.5207 x4
F 0.3557 0.7248 0.7581 x4

Main lines, in order of rising 2θ (5° ≤ 2θ ≤ 70°):
two_theta  I (rel.)  h k l
15.02  25  0 0 2
18.92  100  0 1 1
23.74  58  1 0 2
26.42  22  1 1 1
34.19  29  1 1 3
39.88  27  1 1 4
41.16  11  2 1 0
41.90  9  2 1 1
50.88  20  1 2 4
51.94  11  2 2 0
62.39  6  1 3 3
65.82  7  3 0 4

***

# 5
# VOF3
Simulated powder XRD pattern, Cu Kα. Input: a GGA+U-relaxed structure.
Intensities are scaled so that the largest is 100.

Lattice parameters (Å, degrees): 5.4745 5.4966 10.4353 89.20 89.40 60.46
Space group P-1 (No. 2)
Unique sites:
V 0.0000 0.0000 0.0000 x1
V 0.0000 0.0000 0.5000 x1
V 0.4310 0.0001 0.2441 x2
O 0.1691 0.0669 0.3520 x2
O 0.3077 0.9335 0.1053 x2
F 0.1597 0.6416 0.4585 x2
F 0.1655 0.0743 0.8608 x2
F 0.1712 0.6404 0.9583 x2
F 0.3118 0.9250 0.5945 x2
F 0.3164 0.3399 0.7066 x2
F 0.3694 0.3420 0.2112 x2

Main lines, in order of rising 2θ (5° ≤ 2θ ≤ 70°):
two_theta  I (rel.)  h k l
18.56  100  0 1 0
25.21  45  1 1 2
25.27  46  1 0 2
25.37  49  1 0 -2
25.57  46  1 1 -2
32.72  13  2 1 0
37.62  15  0 2 0
39.17  11  1 1 4
41.74  10  0 2 -2
47.92  13  2 1 4
48.46  15  2 1 -4
53.56  13  1 3 2

***

# 6
# VOF3
Simulated powder XRD pattern, Cu Kα. Input: a GGA+U-relaxed structure.
Intensities are scaled so that the largest is 100.

Lattice parameters (Å, degrees): 5.2922 5.4995 9.3305 88.82 89.93 88.91
Space group P-1 (No. 2)
Unique sites:
V 0.0000 0.0000 0.0000 x1
V 0.0000 0.5000 0.5000 x1
V 0.4317 0.2295 0.7495 x2
O 0.1983 0.3014 0.6278 x2
O 0.2778 0.0523 0.8747 x2
F 0.0826 0.2607 0.0974 x2
F 0.0862 0.7612 0.5964 x2
F 0.2023 0.8068 0.1190 x2
F 0.2795 0.5389 0.3838 x2
F 0.3906 0.9922 0.3440 x2
F 0.4413 0.5070 0.8402 x2

Main lines, in order of rising 2θ (5° ≤ 2θ ≤ 70°):
two_theta  I (rel.)  h k l
18.56  100  0 1 1
25.16  47  1 1 -1
25.46  92  1 0 2
25.57  50  1 -1 1
33.40  22  0 1 -3
37.65  17  0 2 2
39.15  17  2 0 -2
41.18  10  1 2 2
48.10  15  2 1 -3
48.53  15  2 -1 3
52.29  10  2 0 -4
55.19  14  1 -2 4

***

# 7
# V4O7F5
Simulated powder XRD pattern, Cu Kα. Input: a GGA+U-relaxed structure.
Intensities are scaled so that the largest is 100.

Lattice parameters (Å, degrees): 5.2190 5.3318 8.9475 73.74 89.34 60.90
Space group P1 (No. 1)
Unique sites:
V 0.0000 0.0000 0.0000 x1
V 0.1969 0.4997 0.7495 x1
V 0.5197 0.0007 0.5032 x1
V 0.7713 0.4799 0.2503 x1
O 0.0534 0.6975 0.8744 x1
O 0.0977 0.1922 0.8440 x1
O 0.4609 0.1907 0.6322 x1
O 0.5964 0.1983 0.3463 x1
O 0.9171 0.6946 0.1676 x1
O 0.9188 0.6922 0.5913 x1
O 0.9509 0.1973 0.1251 x1
F 0.0932 0.1915 0.4303 x1
F 0.4088 0.6961 0.0901 x1
F 0.4271 0.6794 0.6748 x1
F 0.5365 0.7079 0.3847 x1
F 0.5953 0.1872 0.9243 x1

Main lines, in order of rising 2θ (5° ≤ 2θ ≤ 70°):
two_theta  I (rel.)  h k l
23.67  48  1 0 1
24.02  100  0 1 2
33.54  13  0 1 -2
33.64  7  1 2 1
34.43  7  1 1 3
40.01  6  2 0 0
48.44  11  2 0 2
49.11  9  2 2 -2
49.28  10  0 2 4
54.17  11  1 -1 3
54.63  9  1 2 -3
54.74  9  -1 2 3

***

# 8
# V6O5F19
Simulated powder XRD pattern, Cu Kα. Input: a GGA+U-relaxed structure.
Intensities are scaled so that the largest is 100.

Lattice parameters (Å, degrees): 5.3693 5.5031 15.1368 79.70 89.95 89.31
Space group P1 (No. 1)
Unique sites:
V 0.0000 0.0000 0.0000 x1
V 0.0135 0.5833 0.6681 x1
V 0.0713 0.2933 0.3396 x1
V 0.4926 0.0529 0.6709 x1
V 0.5456 0.5029 0.9990 x1
V 0.5695 0.7497 0.3311 x1
O 0.2870 0.4972 0.3525 x1
O 0.3147 0.8075 0.6902 x1
O 0.7138 0.7554 0.9756 x1
O 0.7861 0.5412 0.3179 x1
O 0.8272 0.2543 0.9774 x1
F 0.0670 0.3111 0.2217 x1
F 0.0971 0.9513 0.8927 x1
F 0.1136 0.6570 0.5553 x1
F 0.2221 0.2852 0.6931 x1
F 0.2455 0.6200 0.0281 x1
F 0.2480 0.0036 0.3556 x1
F 0.2947 0.1172 0.0295 x1
F 0.4369 0.8300 0.2224 x1
F 0.4434 0.1731 0.5563 x1
F 0.4458 0.4486 0.8928 x1
F 0.5680 0.7285 0.4492 x1
F 0.6041 0.0765 0.7787 x1
F 0.6176 0.3765 0.1119 x1
F 0.7361 0.4092 0.6455 x1
F 0.7479 0.0325 0.3153 x1
F 0.7942 0.8969 0.6443 x1
F 0.9234 0.8693 0.1118 x1
F 0.9407 0.2118 0.4485 x1
F 0.9534 0.5760 0.7836 x1

Main lines, in order of rising 2θ (5° ≤ 2θ ≤ 70°):
two_theta  I (rel.)  h k l
17.87  100  0 0 3
24.71  85  1 1 -1
24.98  83  1 -1 1
32.54  12  0 2 1
36.19  11  0 0 6
40.02  11  1 0 -6
47.01  12  2 2 1
47.61  13  -2 2 1
51.25  8  -2 2 4
51.84  10  1 1 8
53.80  7  1 -3 0
55.53  9  0 0 9

***

# 9
# V6O7F5
Simulated powder XRD pattern, Cu Kα. Input: a GGA+U-relaxed structure.
Intensities are scaled so that the largest is 100.

Lattice parameters (Å, degrees): 5.6150 5.6294 7.3921 71.91 72.51 71.81
Space group P1 (No. 1)
Unique sites:
V 0.0000 0.0000 0.0000 x1
V 0.0016 0.9366 0.4763 x1
V 0.2932 0.3517 0.1660 x1
V 0.2951 0.3094 0.6748 x1
V 0.6475 0.6588 0.8322 x1
V 0.6512 0.6501 0.3198 x1
O 0.0815 0.0885 0.2074 x1
O 0.2837 0.6735 0.4975 x1
O 0.3594 0.9599 0.8264 x1
O 0.5399 0.5514 0.1290 x1
O 0.7537 0.7574 0.5254 x1
O 0.9487 0.3524 0.8308 x1
O 0.9984 0.6396 0.1578 x1
F 0.1984 0.2102 0.4667 x1
F 0.4091 0.4256 0.8653 x1
F 0.6068 0.0318 0.1588 x1
F 0.6833 0.2723 0.4999 x1
F 0.8914 0.8939 0.7839 x1

Main lines, in order of rising 2θ (5° ≤ 2θ ≤ 70°):
two_theta  I (rel.)  h k l
26.64  100  1 1 2
27.05  96  1 -1 0
34.47  26  1 0 -2
34.68  72  0 1 -2
52.38  16  1 0 4
52.57  30  3 2 2
52.87  26  3 0 0
54.88  17  2 2 4
55.77  17  2 -2 0
59.53  19  2 2 -2
66.48  20  -1 2 4
67.17  23  2 -1 4

***

# 10
# V2OF5
Simulated powder XRD pattern, Cu Kα. Input: a GGA+U-relaxed structure.
Intensities are scaled so that the largest is 100.

Lattice parameters (Å, degrees): 5.2731 5.2812 13.5084 90.02 90.03 119.93
Space group P1 (No. 1)
Unique sites:
V 0.0000 0.0000 0.0000 x1
V 0.0161 0.9728 0.4929 x1
V 0.3458 0.6495 0.6671 x1
V 0.3722 0.6956 0.1597 x1
V 0.6510 0.3298 0.8264 x1
V 0.6941 0.3462 0.3337 x1
O 0.4403 0.4045 0.7524 x1
O 0.6550 0.9055 0.0855 x1
O 0.9384 0.6886 0.4181 x1
F 0.0142 0.5795 0.7513 x1
F 0.0251 0.4259 0.2473 x1
F 0.0777 0.7408 0.0862 x1
F 0.0939 0.3188 0.5806 x1
F 0.2568 0.3323 0.0854 x1
F 0.2739 0.9227 0.5841 x1
F 0.3407 0.0683 0.9170 x1
F 0.3552 0.2668 0.4190 x1
F 0.4203 0.0036 0.2508 x1
F 0.5998 0.5957 0.2510 x1
F 0.6030 0.9895 0.7519 x1
F 0.6876 0.7435 0.5844 x1
F 0.7477 0.6567 0.9179 x1
F 0.7644 0.0875 0.4192 x1
F 0.9180 0.2511 0.9135 x1

Main lines, in order of rising 2θ (5° ≤ 2θ ≤ 70°):
two_theta  I (rel.)  h k l
23.50  100  0 1 2
32.98  13  0 1 -4
33.96  6  2 -1 0
39.58  15  -2 1 3
48.06  22  0 2 4
53.48  17  -1 2 6
53.52  8  2 -1 6
54.81  8  2 1 -2
54.90  4  3 -2 2
60.12  4  -2 3 4
60.82  4  3 0 0
69.17  6  2 0 8